Entry 1:
This entry pairs a crystal structure of Ac3NiHg2 with its computed powder diffraction line list. Radiation: Cu Kα (λ = 1.5418 Å). Structure: DFT lattice parameters and positions (PBE).
No peak broadening, texture or thermal motion is included.

Cell and atoms:
Cell: 13.3443 4.2475 13.5400 Å, 90.00 90.00 90.00°
Space group Pnma (No. 62)
One atom of each set of equivalent atoms:
Ac (0.0446, 0.2500, 0.1317) (multiplicity 4)
Ac (0.1250, 0.7500, 0.5438) (multiplicity 4)
Ac (0.2341, 0.2500, 0.7909) (multiplicity 4)
Ni (0.1347, 0.2500, 0.3776) (multiplicity 4)
Hg (0.0097, 0.7500, 0.3167) (multiplicity 4)
Hg (0.1839, 0.7500, 0.9898) (multiplicity 4)

Most intense lines, 10° ≤ 2θ ≤ 90°, most intense first:
- d 2.994, I = 100
- d 3.093, I = 97
- d 3.017, I = 80
- d 2.797, I = 78
- d 3.167, I = 75
- d 2.124, I = 61
- d 3.471, I = 55
- d 2.576, I = 55
- d 2.461, I = 46
- d 2.597, I = 38

Entry 2:
This entry pairs a crystal structure of Ac4Ni2Hg with its computed powder diffraction line list. Radiation: Cu Kα (λ = 1.5418 Å). Structure: DFT lattice parameters and positions (PBE).
No peak broadening, texture or thermal motion is included.

Cell and atoms:
Cell: 4.2800 14.5274 14.8327 Å, 90.00 90.00 90.00°
Space group Cmcm (No. 63)
One atom of each set of equivalent atoms:
Ac (0.0000, 0.0000, 0.0000) (multiplicity 4)
Ac (0.0000, 0.2634, 0.1126) (multiplicity 8)
Ac (0.0000, 0.4357, 0.7500) (multiplicity 4)
Ni (0.0000, 0.3686, 0.5591) (multiplicity 8)
Hg (0.0000, 0.1157, 0.7500) (multiplicity 4)

Most intense lines, 10° ≤ 2θ ≤ 90°, most intense first:
- d 3.134, I = 100
- d 3.303, I = 81
- d 3.159, I = 57
- d 2.944, I = 47
- d 1.796, I = 30
- d 2.140, I = 28
- d 2.405, I = 25
- d 1.768, I = 24
- d 2.162, I = 23
- d 2.175, I = 22

Entry 3:
This entry pairs a crystal structure of AcNiHgPb with its computed powder diffraction line list. Radiation: Cu Kα (λ = 1.5418 Å). Structure: DFT lattice parameters and positions (PBE).
No peak broadening, texture or thermal motion is included.

Cell and atoms:
Cell: 7.4432 7.4432 7.4432 Å, 90.00 90.00 90.00°
Space group F-43m (No. 216)
One atom of each set of equivalent atoms:
Ac (0.0000, 0.0000, 0.0000) (multiplicity 4)
Ni (0.2500, 0.2500, 0.7500) (multiplicity 4)
Hg (0.2500, 0.2500, 0.2500) (multiplicity 4)
Pb (0.0000, 0.0000, 0.5000) (multiplicity 4)

Most intense lines, 10° ≤ 2θ ≤ 90°, most intense first:
- d 2.632, I = 100
- d 1.519, I = 38
- d 1.861, I = 18
- d 1.177, I = 17
- d 1.316, I = 12
- d 4.297, I = 9
- d 3.722, I = 6
- d 2.244, I = 5
- d 1.664, I = 3
- d 1.708, I = 2

Entry 4:
This entry pairs a crystal structure of Ac2NiHgPd6 with its computed powder diffraction line list. Radiation: Cu Kα (λ = 1.5418 Å). Structure: DFT lattice parameters and positions (PBE).
No peak broadening, texture or thermal motion is included.

Cell and atoms:
Cell: 5.7455 5.7455 25.2694 Å, 90.00 90.00 120.00°
Space group R-3m (No. 166, hexagonal axes)
One atom of each set of equivalent atoms:
Ac (0.0000, 0.0000, 0.2049) (multiplicity 6)
Ni (0.0000, 0.0000, 0.5000) (multiplicity 3)
Hg (0.0000, 0.0000, 0.0000) (multiplicity 3)
Pd (0.0011, 0.5006, 0.7565) (multiplicity 18)

Most intense lines, 10° ≤ 2θ ≤ 90°, most intense first:
- d 2.315, I = 100
- d 3.546, I = 70
- d 2.253, I = 61
- d 2.441, I = 55
- d 2.373, I = 51
- d 8.423, I = 49
- d 2.232, I = 38
- d 2.873, I = 36
- d 1.509, I = 34
- d 4.882, I = 34

Entry 5:
This entry pairs a crystal structure of Ac2HgO with its computed powder diffraction line list. Radiation: Cu Kα (λ = 1.5418 Å). Structure: DFT lattice parameters and positions (PBE).
No peak broadening, texture or thermal motion is included.

Cell and atoms:
Cell: 7.5556 7.5556 7.8589 Å, 90.00 90.00 120.00°
Space group P3_121 (No. 152)
One atom of each set of equivalent atoms:
Ac (0.1251, 0.4129, 0.3907) (multiplicity 6)
Hg (0.0000, 0.6646, 0.6667) (multiplicity 3)
O (0.0000, 0.5598, 0.1667) (multiplicity 3)

Most intense lines, 10° ≤ 2θ ≤ 90°, most intense first:
- d 3.020, I = 100
- d 3.369, I = 80
- d 2.514, I = 55
- d 3.405, I = 52
- d 3.778, I = 35
- d 2.359, I = 35
- d 1.798, I = 26
- d 1.648, I = 17
- d 2.102, I = 16
- d 1.768, I = 15

Entry 6:
This entry pairs a crystal structure of Ac5Hg2O2 with its computed powder diffraction line list. Radiation: Cu Kα (λ = 1.5418 Å). Structure: DFT lattice parameters and positions (PBE).
No peak broadening, texture or thermal motion is included.

Cell and atoms:
Cell: 20.7752 7.4698 7.3394 Å, 90.00 90.00 90.00°
Space group Ima2 (No. 46)
One atom of each set of equivalent atoms:
Ac (0.0113, 0.2458, 0.0000) (multiplicity 8)
Ac (0.1476, 0.5523, 0.2316) (multiplicity 8)
Ac (0.2500, 0.1102, 0.1683) (multiplicity 4)
Hg (0.1054, 0.5156, 0.7576) (multiplicity 8)
O (0.0000, 0.0000, 0.7461) (multiplicity 4)
O (0.2500, 0.0829, 0.8255) (multiplicity 4)

Most intense lines, 10° ≤ 2θ ≤ 90°, most intense first:
- d 2.997, I = 100
- d 2.618, I = 97
- d 3.032, I = 96
- d 2.888, I = 93
- d 3.460, I = 53
- d 1.845, I = 50
- d 1.931, I = 44
- d 2.597, I = 36
- d 2.539, I = 34
- d 3.287, I = 32

Entry 7:
This entry pairs a crystal structure of Ac2HgO5 with its computed powder diffraction line list. Radiation: Cu Kα (λ = 1.5418 Å). Structure: DFT lattice parameters and positions (PBE).
No peak broadening, texture or thermal motion is included.

Cell and atoms:
Cell: 5.1258 5.7930 6.4628 Å, 89.68 66.82 63.88°
Space group P-1 (No. 2)
One atom of each set of equivalent atoms:
Ac (0.0295, 0.1959, 0.2471) (multiplicity 2)
Hg (0.5000, 0.5000, 0.0000) (multiplicity 1)
O (0.0000, 0.5000, 0.0000) (multiplicity 1)
O (0.2179, 0.7239, 0.3386) (multiplicity 2)
O (0.3906, 0.8465, 0.8714) (multiplicity 2)

Most intense lines, 10° ≤ 2θ ≤ 90°, most intense first:
- d 3.102, I = 100
- d 2.864, I = 78
- d 3.496, I = 77
- d 4.400, I = 61
- d 2.563, I = 49
- d 5.817, I = 37
- d 4.134, I = 34
- d 2.529, I = 25
- d 2.144, I = 21
- d 2.005, I = 20

Entry 8:
This entry pairs a crystal structure of AcHg2PO6 with its computed powder diffraction line list. Radiation: Cu Kα (λ = 1.5418 Å). Structure: DFT lattice parameters and positions (PBE).
No peak broadening, texture or thermal motion is included.

Cell and atoms:
Cell: 5.5221 5.5221 15.7452 Å, 90.00 90.00 120.00°
Space group R-3 (No. 148, hexagonal axes)
One atom of each set of equivalent atoms:
Ac (0.0000, 0.0000, 0.0000) (multiplicity 3)
Hg (0.0000, 0.0000, 0.2243) (multiplicity 6)
P (0.0000, 0.0000, 0.5000) (multiplicity 3)
O (0.0416, 0.7659, 0.5654) (multiplicity 18)

Most intense lines, 10° ≤ 2θ ≤ 90°, most intense first:
- d 3.039, I = 100
- d 2.761, I = 94
- d 2.630, I = 51
- d 4.576, I = 43
- d 2.044, I = 39
- d 1.643, I = 34
- d 1.478, I = 25
- d 1.594, I = 22
- d 1.904, I = 21
- d 1.568, I = 20